No. 1
Simulated powder XRD pattern of Sr2HfZrO6 for Cu Kα, from a cell relaxed with PBE.
No peak broadening, texture or thermal motion is included.

Atomic structure:
abc: 5.8970 5.8970 5.8970
angles: 60.00 60.00 60.00
Element x y z (fractional)
1 Sr 0.2500 0.2500 0.2500
2 Sr 0.7500 0.7500 0.7500
3 Hf 0.0000 0.0000 0.0000
4 Zr 0.5000 0.5000 0.5000
5 O 0.2481 0.2481 0.7519
6 O 0.2481 0.7519 0.2481
7 O 0.2481 0.7519 0.7519
8 O 0.7519 0.2481 0.2481
9 O 0.7519 0.2481 0.7519
10 O 0.7519 0.7519 0.2481

Principal peaks in the range 2θ from 10° to 90°, in order of rising 2θ:
2θ 18.4, rel. 9; 2θ 21.3, rel. 12; 2θ 30.3, rel. 100; 2θ 35.7, rel. 5; 2θ 43.4, rel. 32; 2θ 53.9, rel. 41; 2θ 63.1, rel. 20; 2θ 71.6, rel. 18; 2θ 79.7, rel. 7; 2θ 87.5, rel. 22

=====

No. 2
Simulated powder XRD pattern of TbHfO4 for Cu Kα, from a cell relaxed with PBE.
No peak broadening, texture or thermal motion is included.

Atomic structure:
abc: 6.4634 6.4634 5.3610
angles: 113.47 113.47 109.18
Element x y z (fractional)
1 Tb 0.1259 0.8741 0.7500
2 Tb 0.8741 0.1259 0.2500
3 Hf 0.3855 0.6145 0.2500
4 Hf 0.6145 0.3855 0.7500
5 O 0.0772 0.5267 0.2933
6 O 0.2369 0.2842 0.7906
7 O 0.2842 0.2369 0.2906
8 O 0.4733 0.9228 0.2067
9 O 0.5267 0.0772 0.7933
10 O 0.7158 0.7631 0.7094
11 O 0.7631 0.7158 0.2094
12 O 0.9228 0.4733 0.7067

Principal peaks in the range 2θ from 10° to 90°, in order of rising 2θ:
2θ 28.5, rel. 100; 2θ 29.3, rel. 93; 2θ 32.9, rel. 23; 2θ 33.5, rel. 21; 2θ 34.0, rel. 21; 2θ 46.6, rel. 18; 2θ 48.1, rel. 30; 2θ 48.5, rel. 30; 2θ 48.6, rel. 15; 2θ 55.7, rel. 16

=====

No. 3
Simulated powder XRD pattern of HfTe3O8 for Cu Kα, from a cell relaxed with PBE.
No peak broadening, texture or thermal motion is included.

Atomic structure:
abc: 9.9769 9.9769 9.9769
angles: 109.47 109.47 109.47
Element x y z (fractional)
1 Hf 0.0000 0.0000 0.5000
2 Hf 0.0000 0.5000 0.0000
3 Hf 0.5000 0.0000 0.0000
4 Hf 0.5000 0.5000 0.5000
5 Te 0.0509 0.2500 0.3009
6 Te 0.1991 0.4491 0.7500
7 Te 0.2500 0.3009 0.0509
8 Te 0.2500 0.8009 0.5509
9 Te 0.3009 0.0509 0.2500
10 Te 0.4491 0.7500 0.1991
11 Te 0.5509 0.2500 0.8009
12 Te 0.6991 0.9491 0.7500
13 Te 0.7500 0.1991 0.4491
14 Te 0.7500 0.6991 0.9491
15 Te 0.8009 0.5509 0.2500
16 Te 0.9491 0.7500 0.6991
17 O 0.0000 0.3338 0.5000
18 O 0.0000 0.6662 0.5000
19 O 0.0315 0.4555 0.7969
20 O 0.0445 0.0760 0.3414
21 O 0.0760 0.3414 0.0445
22 O 0.1586 0.2346 0.7031
23 O 0.1662 0.1662 0.1662
24 O 0.2031 0.9685 0.5445
25 O 0.2346 0.7031 0.1586
26 O 0.2654 0.4240 0.4685
27 O 0.2969 0.8414 0.7654
28 O 0.3338 0.5000 0.0000
29 O 0.3414 0.0445 0.0760
30 O 0.4240 0.4685 0.2654
31 O 0.4555 0.7969 0.0315
32 O 0.4685 0.2654 0.4240
33 O 0.5000 0.0000 0.3338
34 O 0.5000 0.0000 0.6662
35 O 0.5315 0.7346 0.5760
36 O 0.5445 0.2031 0.9685
37 O 0.5760 0.5315 0.7346
38 O 0.6586 0.9555 0.9240
39 O 0.6662 0.5000 0.0000
40 O 0.7031 0.1586 0.2346
41 O 0.7346 0.5760 0.5315
42 O 0.7654 0.2969 0.8414
43 O 0.7969 0.0315 0.4555
44 O 0.8338 0.8338 0.8338
45 O 0.8414 0.7654 0.2969
46 O 0.9240 0.6586 0.9555
47 O 0.9555 0.9240 0.6586
48 O 0.9685 0.5445 0.2031

Principal peaks in the range 2θ from 10° to 90°, in order of rising 2θ:
2θ 18.9, rel. 27; 2θ 26.8, rel. 100; 2θ 29.0, rel. 18; 2θ 31.1, rel. 35; 2θ 33.0, rel. 12; 2θ 44.5, rel. 28; 2θ 52.7, rel. 26; 2θ 60.1, rel. 13; 2θ 67.0, rel. 11; 2θ 86.1, rel. 13

=====

No. 4
Simulated powder XRD pattern of HfTiO4 for Cu Kα, from a cell relaxed with PBE.
No peak broadening, texture or thermal motion is included.

Atomic structure:
abc: 4.7531 5.1030 5.6634
angles: 90.00 90.00 90.00
Element x y z (fractional)
1 Hf 0.0000 0.0000 0.0777
2 Hf 0.5000 0.5000 0.9223
3 Ti 0.0000 0.5000 0.4303
4 Ti 0.5000 0.0000 0.5697
5 O 0.2197 0.3374 0.1470
6 O 0.2346 0.8251 0.3732
7 O 0.2654 0.3251 0.6268
8 O 0.2803 0.8374 0.8530
9 O 0.7197 0.1626 0.8530
10 O 0.7346 0.6749 0.6268
11 O 0.7654 0.1749 0.3732
12 O 0.7803 0.6626 0.1470

Principal peaks in the range 2θ from 10° to 90°, in order of rising 2θ:
2θ 15.6, rel. 35; 2θ 24.4, rel. 27; 2θ 25.6, rel. 31; 2θ 30.2, rel. 100; 2θ 35.2, rel. 15; 2θ 36.3, rel. 18; 2θ 41.1, rel. 16; 2θ 52.6, rel. 17; 2θ 53.4, rel. 22; 2θ 60.0, rel. 15

=====

No. 5
Simulated powder XRD pattern of HfTiO4 for Cu Kα, from a cell relaxed with PBE.
No peak broadening, texture or thermal motion is included.

Atomic structure:
abc: 4.7708 5.6848 10.1751
angles: 90.15 90.94 90.06
Element x y z (fractional)
1 Hf 0.0000 0.0000 0.0000
2 Hf 0.0004 0.0034 0.4935
3 Hf 0.0026 0.3644 0.7510
4 Hf 0.5030 0.5101 0.4925
5 Ti 0.0033 0.3695 0.2429
6 Ti 0.4978 0.8549 0.7495
7 Ti 0.5011 0.8635 0.2436
8 Ti 0.5035 0.5096 0.9997
9 O 0.2116 0.2963 0.4045
10 O 0.2329 0.0654 0.1685
11 O 0.2378 0.2971 0.9210
12 O 0.2440 0.0680 0.6663
13 O 0.2657 0.5628 0.1591
14 O 0.2751 0.5793 0.6599
15 O 0.2794 0.7897 0.9070
16 O 0.2893 0.7964 0.4027
17 O 0.7085 0.7922 0.0858
18 O 0.7182 0.5720 0.8417
19 O 0.7261 0.7912 0.5902
20 O 0.7468 0.5692 0.3261
21 O 0.7595 0.0666 0.3240
22 O 0.7678 0.0640 0.8282
23 O 0.7740 0.3042 0.0811
24 O 0.7823 0.2891 0.5801

Principal peaks in the range 2θ from 10° to 90°, in order of rising 2θ:
2θ 24.4, rel. 58; 2θ 29.9, rel. 100; 2θ 30.3, rel. 97; 2θ 31.5, rel. 21; 2θ 35.3, rel. 28; 2θ 36.2, rel. 32; 2θ 37.7, rel. 20; 2θ 51.9, rel. 26; 2θ 52.1, rel. 17; 2θ 53.1, rel. 35

=====

No. 6
Simulated powder XRD pattern of HfZrO4 for Cu Kα, from a cell relaxed with PBE.
No peak broadening, texture or thermal motion is included.

Atomic structure:
abc: 5.8656 4.9099 5.8726
angles: 90.00 112.63 90.00
Element x y z (fractional)
1 Hf 0.0000 0.0000 0.0000
2 Hf 0.0000 0.5000 0.5000
3 Zr 0.5000 0.0000 0.5000
4 Zr 0.5000 0.5000 0.0000
5 O 0.1473 0.1943 0.3448
6 O 0.1473 0.3057 0.8448
7 O 0.3464 0.6873 0.6472
8 O 0.3464 0.8127 0.1472
9 O 0.6536 0.1873 0.8528
10 O 0.6536 0.3127 0.3528
11 O 0.8527 0.6943 0.1552
12 O 0.8527 0.8057 0.6552

Principal peaks in the range 2θ from 10° to 90°, in order of rising 2θ:
2θ 16.4, rel. 12; 2θ 25.7, rel. 100; 2θ 33.0, rel. 82; 2θ 36.6, rel. 13; 2θ 36.8, rel. 12; 2θ 50.2, rel. 33; 2θ 50.3, rel. 34; 2θ 52.9, rel. 16; 2θ 63.1, rel. 16; 2θ 63.6, rel. 10

=====

No. 7
Simulated powder XRD pattern of HfZrO4 for Cu Kα, from a cell relaxed with PBE.
No peak broadening, texture or thermal motion is included.

Atomic structure:
abc: 7.2777 7.2777 7.2438
angles: 119.82 119.82 59.70
Element x y z (fractional)
1 Hf 0.0000 0.0000 0.0000
2 Hf 0.9999 0.5014 0.0003
3 Hf 0.0009 0.0009 0.5020
4 Hf 0.5014 0.9999 0.0003
5 Zr 0.4991 0.4991 0.9971
6 Zr 0.4996 0.4996 0.4984
7 Zr 0.4999 0.9985 0.4982
8 Zr 0.9985 0.4999 0.4982
9 O 0.1048 0.1048 0.3676
10 O 0.1067 0.1067 0.8425
11 O 0.1253 0.6586 0.3905
12 O 0.1538 0.6312 0.8975
13 O 0.3535 0.3535 0.1241
14 O 0.3568 0.3568 0.5863
15 O 0.3702 0.9178 0.1396
16 O 0.4126 0.8753 0.6474
17 O 0.6083 0.6083 0.3442
18 O 0.6100 0.6100 0.8735
19 O 0.6312 0.1538 0.8975
20 O 0.6586 0.1253 0.3905
21 O 0.8543 0.8543 0.0801
22 O 0.8579 0.8579 0.6289
23 O 0.8753 0.4126 0.6474
24 O 0.9178 0.3702 0.1396

Principal peaks in the range 2θ from 10° to 90°, in order of rising 2θ:
2θ 14.9, rel. 12; 2θ 30.1, rel. 100; 2θ 34.7, rel. 10; 2θ 35.0, rel. 19; 2θ 50.1, rel. 34; 2θ 50.4, rel. 17; 2θ 59.4, rel. 15; 2θ 59.8, rel. 28; 2θ 62.6, rel. 9; 2θ 81.5, rel. 12

=====

No. 8
Simulated powder XRD pattern of HfZrO4 for Cu Kα, from a cell relaxed with PBE.
No peak broadening, texture or thermal motion is included.

Atomic structure:
abc: 4.8977 4.8977 3.2527
angles: 90.00 90.00 90.12
Element x y z (fractional)
1 Hf 0.0000 0.0000 0.0000
2 Zr 0.5000 0.5000 0.5000
3 O 0.1920 0.8080 0.5000
4 O 0.3028 0.3028 0.0000
5 O 0.6972 0.6972 0.0000
6 O 0.8080 0.1920 0.5000

Principal peaks in the range 2θ from 10° to 90°, in order of rising 2θ:
2θ 18.1, rel. 19; 2θ 25.7, rel. 100; 2θ 33.1, rel. 82; 2θ 36.7, rel. 24; 2θ 50.2, rel. 67; 2θ 59.7, rel. 16; 2θ 63.2, rel. 16; 2θ 63.8, rel. 20; 2θ 86.8, rel. 12; 2θ 87.4, rel. 12

=====

Number 4 is which compound?
HfTiO4